Record 1
Theoretical powder diffractogram
Compound: NpMnB2O8
Radiation: Cu Kα, 1.54184 Å
Structure: the PBE+U geometry in Alexandria
No peak broadening, texture or thermal motion is included.

Crystal structure
abc: 4.5688 4.5688 21.3954
angles: 90.00 90.00 120.00
Space group R32 (No. 155, hexagonal axes)
Asymmetric unit:
Np 0.0000 0.0000 0.0000 (multiplicity 3)
Mn 0.0000 0.0000 0.5000 (multiplicity 3)
B 0.0000 0.0000 0.2462 (multiplicity 6)
O 0.0000 0.0000 0.1795 (multiplicity 6)
O 0.0099 0.3060 0.7289 (multiplicity 18)

Peak list (10 most intense, 2θ from 5° to 70°, low angle first)
d (Å)	2θ/deg	I (rel.)
7.132	12.41	69
3.891	22.86	61
3.711	23.98	83
3.566	24.97	23
3.181	28.05	100
2.905	30.78	30
2.284	39.45	38
2.216	40.72	29
1.945	46.69	19
1.924	47.25	56

Record 2
Theoretical powder diffractogram
Compound: MnBO2
Radiation: Cu Kα, 1.54184 Å
Structure: the PBE+U geometry in Alexandria
No peak broadening, texture or thermal motion is included.

Crystal structure
abc: 4.7269 6.5086 4.8362
angles: 90.00 90.00 90.00
Space group Pna2_1 (No. 33)
Asymmetric unit:
Mn 0.0968 0.1497 0.0000 (multiplicity 4)
B 0.0542 0.6259 0.0103 (multiplicity 4)
O 0.0112 0.5297 0.7270 (multiplicity 4)
O 0.1310 0.1849 0.5287 (multiplicity 4)

Peak list (10 most intense, 2θ from 5° to 70°, low angle first)
d (Å)	2θ/deg	I (rel.)
3.882	22.91	59
2.680	33.43	74
2.418	37.18	62
2.344	38.40	100
2.222	40.61	66
2.123	42.58	35
2.044	44.32	59
1.972	46.03	60
1.795	50.85	36
1.636	56.23	44